Structure and computed powder XRD pattern of Rb2InAgCl6 (the PBE geometry in the Materials Project; Cu Kα (λ = 1.5418 Å)).
Lines closer than 0.1° are merged.

Structure:
Cell lengths 7.471, 7.471, 7.471 Å; angles 60.00, 60.00, 60.00 degrees
Sites, in units of the cell vectors:
Rb  0.250  0.250  0.250
Rb  0.750  0.750  0.750
In  0.000  0.000  0.000
Ag  0.500  0.500  0.500
Cl  0.242  0.242  0.758
Cl  0.242  0.758  0.242
Cl  0.242  0.758  0.758
Cl  0.758  0.242  0.242
Cl  0.758  0.242  0.758
Cl  0.758  0.758  0.242

Main lines, low angle first (10° ≤ 2θ ≤ 80°):
Position (°2θ)	I_rel
23.82	100
33.94	70
41.89	45
48.76	47
54.96	21
66.19	23


Structure and computed powder XRD pattern of In2AgSe3Cl (the PBE geometry in the Materials Project; Cu Kα (λ = 1.5418 Å)).
Lines closer than 0.1° are merged.

Structure:
Cell lengths 8.069, 8.069, 8.069 Å; angles 61.14, 61.14, 61.14 degrees
Sites, in units of the cell vectors:
In  0.000  0.000  0.000
In  0.000  0.000  0.500
In  0.000  0.500  0.000
In  0.500  0.000  0.000
Ag  0.398  0.398  0.398
Ag  0.602  0.602  0.602
Se  0.216  0.759  0.759
Se  0.241  0.241  0.784
Se  0.241  0.784  0.241
Se  0.759  0.216  0.759
Se  0.759  0.759  0.216
Se  0.784  0.241  0.241
Cl  0.249  0.249  0.249
Cl  0.751  0.751  0.751

Main lines, low angle first (10° ≤ 2θ ≤ 80°):
Position (°2θ)	I_rel
25.47	40
25.64	53
31.09	100
40.72	42
44.14	81
44.95	62